[1]
Theoretical X-ray diffraction stick pattern of CsErZnS3 for a wavelength of 1.5418 Å, from a structure optimized by DFT (PBE).
Neutral-atom scattering factors, no anomalous dispersion.

Principal peaks in the range 2θ = 5–70°, by angle:
11.2 deg, rel. 75; 20.7 deg, rel. 24; 22.5 deg, rel. 56; 24.3 deg, rel. 32; 29.6 deg, rel. 100; 30.6 deg, rel. 46; 34.6 deg, rel. 32; 35.3 deg, rel. 28; 45.4 deg, rel. 24; 49.0 deg, rel. 23

Structural model:
```
CsErZnS3
1.0
9.244 0.000 0.000
0.000 3.999 0.000
-3.712 0.000 9.185
Cs Er Zn S
2 2 2 6
Direct
0.224 0.250 0.249
0.776 0.750 0.751
0.330 0.750 0.863
0.670 0.250 0.137
0.082 0.250 0.612
0.918 0.750 0.388
0.123 0.250 0.856
0.191 0.750 0.549
0.477 0.750 0.151
0.523 0.250 0.849
0.809 0.250 0.451
0.877 0.750 0.144
```

[2]
Theoretical X-ray diffraction stick pattern of Li7LuO6 for a wavelength of 1.5418 Å, from a structure optimized by DFT (PBE).
Neutral-atom scattering factors, no anomalous dispersion.

Principal peaks in the range 2θ = 5–70°, by angle:
17.5 deg, rel. 31; 19.2 deg, rel. 100; 21.7 deg, rel. 76; 29.8 deg, rel. 31; 34.8 deg, rel. 22; 36.6 deg, rel. 51; 37.5 deg, rel. 16; 48.4 deg, rel. 30; 50.0 deg, rel. 16; 56.8 deg, rel. 20

Structural model:
```
Li7LuO6
1.0
2.806 1.620 5.075
-2.806 1.620 5.075
0.000 -3.240 5.075
Li Lu O
7 1 6
Direct
0.000 0.000 0.000
0.079 0.833 0.478
0.275 0.571 0.843
0.478 0.079 0.833
0.571 0.843 0.275
0.833 0.478 0.079
0.843 0.275 0.571
0.346 0.346 0.346
0.140 0.415 0.748
0.225 0.964 0.593
0.415 0.748 0.140
0.593 0.225 0.964
0.748 0.140 0.415
0.964 0.593 0.225
```

[3]
Theoretical X-ray diffraction stick pattern of K4SiPtSe6 for a wavelength of 1.5418 Å, from a structure optimized by DFT (PBE).
Neutral-atom scattering factors, no anomalous dispersion.

Principal peaks in the range 2θ = 5–70°, by angle:
10.2 deg, rel. 65; 13.7 deg, rel. 100; 14.7 deg, rel. 59; 15.7 deg, rel. 59; 16.2 deg, rel. 88; 16.3 deg, rel. 71; 26.6 deg, rel. 81; 26.9 deg, rel. 100; 27.4 deg, rel. 90; 45.7 deg, rel. 55

Structural model:
```
K4SiPtSe6
1.0
6.732 0.000 0.000
2.950 6.684 0.000
2.829 2.212 8.671
K Si Pt Se
4 1 1 6
Direct
0.000 0.000 0.000
0.226 0.331 0.208
0.456 0.714 0.432
0.702 0.021 0.649
0.001 0.444 0.613
0.728 0.563 0.973
0.092 0.518 0.807
0.189 0.117 0.594
0.529 0.878 0.055
0.652 0.466 0.775
0.700 0.357 0.234
0.976 0.705 0.400
```

[4]
Theoretical X-ray diffraction stick pattern of KGdInTe3 for a wavelength of 1.5418 Å, from a structure optimized by DFT (PBE).
Neutral-atom scattering factors, no anomalous dispersion.

Principal peaks in the range 2θ = 5–70°, by angle:
11.0 deg, rel. 100; 24.9 deg, rel. 20; 25.1 deg, rel. 27; 26.2 deg, rel. 54; 29.3 deg, rel. 91; 29.9 deg, rel. 46; 37.0 deg, rel. 53; 38.0 deg, rel. 32; 45.7 deg, rel. 25; 49.1 deg, rel. 21

Structural model:
```
KGdInTe3
1.0
2.368 -8.033 0.000
2.368 8.033 0.000
0.000 0.000 11.971
K Gd In Te
2 2 2 6
Direct
0.242 0.758 0.750
0.758 0.242 0.250
0.000 0.000 0.000
0.000 0.000 0.500
0.467 0.533 0.250
0.533 0.467 0.750
0.077 0.923 0.250
0.370 0.630 0.040
0.370 0.630 0.460
0.630 0.370 0.540
0.630 0.370 0.960
0.923 0.077 0.750
```

[5]
Theoretical X-ray diffraction stick pattern of Cu5Sn2Se7 for a wavelength of 1.5418 Å, from a structure optimized by DFT (PBE).
Neutral-atom scattering factors, no anomalous dispersion.

Principal peaks in the range 2θ = 5–70°, by angle:
27.1 deg, rel. 100; 28.6 deg, rel. 1; 29.2 deg, rel. 1; 35.4 deg, rel. 1; 37.9 deg, rel. 1; 39.0 deg, rel. 1; 45.0 deg, rel. 72; 53.3 deg, rel. 42; 65.4 deg, rel. 7; 65.5 deg, rel. 4

Structural model:
```
Cu5Sn2Se7
1.0
6.378 -2.854 0.000
6.378 2.854 0.000
-1.266 0.000 8.922
Cu Sn Se
5 2 7
Direct
0.000 0.000 0.000
0.154 0.135 0.427
0.288 0.287 0.857
0.713 0.712 0.143
0.865 0.846 0.573
0.414 0.434 0.276
0.566 0.586 0.724
0.010 0.540 0.361
0.154 0.685 0.791
0.315 0.846 0.209
0.460 0.990 0.639
0.621 0.082 0.057
0.780 0.220 0.500
0.918 0.379 0.943
```

[6]
Theoretical X-ray diffraction stick pattern of Nd4Se3I4 for a wavelength of 1.5418 Å, from a structure optimized by DFT (PBE).
Neutral-atom scattering factors, no anomalous dispersion.

Principal peaks in the range 2θ = 5–70°, by angle:
26.8 deg, rel. 90; 29.0 deg, rel. 100; 29.1 deg, rel. 71; 34.9 deg, rel. 66; 37.9 deg, rel. 40; 38.3 deg, rel. 30; 38.5 deg, rel. 67; 48.5 deg, rel. 31; 48.9 deg, rel. 35; 55.2 deg, rel. 42

Structural model:
```
Nd4Se3I4
1.0
4.675 0.000 0.000
0.000 9.485 0.000
0.000 0.000 8.117
Nd Se I
4 3 4
Direct
0.000 0.000 0.000
0.000 0.500 0.042
0.500 0.267 0.607
0.500 0.733 0.607
0.000 0.271 0.818
0.000 0.729 0.818
0.500 0.000 0.792
0.000 0.000 0.416
0.000 0.500 0.455
0.500 0.268 0.187
0.500 0.732 0.187
```

[7]
Theoretical X-ray diffraction stick pattern of ZnI2 for a wavelength of 1.5418 Å, from a structure optimized by DFT (PBE).
Neutral-atom scattering factors, no anomalous dispersion.

Principal peaks in the range 2θ = 5–70°, by angle:
15.1 deg, rel. 68; 24.4 deg, rel. 98; 25.2 deg, rel. 19; 25.3 deg, rel. 100; 26.0 deg, rel. 23; 35.2 deg, rel. 25; 37.9 deg, rel. 27; 43.1 deg, rel. 33; 43.6 deg, rel. 37; 46.1 deg, rel. 32

Structural model:
```
ZnI2
1.0
7.078 0.000 0.000
0.000 10.448 0.000
-0.472 0.000 6.844
Zn I
4 8
Direct
0.247 0.247 0.001
0.247 0.253 0.501
0.753 0.747 0.499
0.753 0.753 0.999
0.035 0.119 0.239
0.035 0.381 0.739
0.459 0.120 0.764
0.459 0.380 0.264
0.541 0.620 0.736
0.541 0.880 0.236
0.965 0.619 0.261
0.965 0.881 0.761
```

[8]
Theoretical X-ray diffraction stick pattern of NaTaF6 for a wavelength of 1.5418 Å, from a structure optimized by DFT (PBE).
Neutral-atom scattering factors, no anomalous dispersion.

Principal peaks in the range 2θ = 5–70°, by angle:
18.8 deg, rel. 100; 20.2 deg, rel. 43; 26.8 deg, rel. 70; 27.7 deg, rel. 98; 33.8 deg, rel. 40; 41.0 deg, rel. 19; 42.9 deg, rel. 19; 47.9 deg, rel. 60; 49.7 deg, rel. 23; 60.9 deg, rel. 19

Structural model:
```
NaTaF6
1.0
4.711 0.000 0.000
0.000 4.711 0.000
0.000 0.000 8.796
Na Ta F
2 2 12
Direct
0.000 0.000 0.250
0.000 0.000 0.750
0.500 0.500 0.000
0.500 0.500 0.500
0.212 0.212 0.000
0.212 0.788 0.500
0.295 0.295 0.349
0.295 0.295 0.651
0.295 0.705 0.151
0.295 0.705 0.849
0.705 0.295 0.151
0.705 0.295 0.849
0.705 0.705 0.349
0.705 0.705 0.651
0.788 0.212 0.500
0.788 0.788 0.000
```

[9]
Theoretical X-ray diffraction stick pattern of Li4PtO4 for a wavelength of 1.5418 Å, from a structure optimized by DFT (PBE).
Neutral-atom scattering factors, no anomalous dispersion.

Principal peaks in the range 2θ = 5–70°, by angle:
17.1 deg, rel. 20; 20.5 deg, rel. 38; 21.9 deg, rel. 100; 27.3 deg, rel. 21; 30.9 deg, rel. 23; 34.6 deg, rel. 17; 36.7 deg, rel. 28; 37.3 deg, rel. 14; 45.2 deg, rel. 20; 51.9 deg, rel. 14

Structural model:
```
Li4PtO4
1.0
4.334 -3.232 0.000
4.334 3.232 0.000
0.000 0.000 6.533
Li Pt O
8 2 8
Direct
0.043 0.675 0.750
0.325 0.957 0.750
0.342 0.342 0.000
0.342 0.342 0.500
0.658 0.658 0.000
0.658 0.658 0.500
0.675 0.043 0.250
0.957 0.325 0.250
0.182 0.818 0.250
0.818 0.182 0.750
0.123 0.319 0.750
0.266 0.734 0.533
0.266 0.734 0.967
0.319 0.123 0.250
0.681 0.877 0.750
0.734 0.266 0.033
0.734 0.266 0.467
0.877 0.681 0.250
```

[10]
Theoretical X-ray diffraction stick pattern of Y2ZrScSb2 for a wavelength of 1.5418 Å, from a structure optimized by DFT (PBE).
Neutral-atom scattering factors, no anomalous dispersion.

Principal peaks in the range 2θ = 5–70°, by angle:
21.3 deg, rel. 19; 29.3 deg, rel. 40; 31.3 deg, rel. 60; 32.6 deg, rel. 26; 34.2 deg, rel. 46; 36.7 deg, rel. 100; 41.8 deg, rel. 29; 41.9 deg, rel. 29; 55.2 deg, rel. 23; 60.7 deg, rel. 19

Structural model:
```
Y2ZrScSb2
1.0
-2.154 2.161 8.232
2.154 -2.161 8.232
2.154 2.161 -8.232
Y Zr Sc Sb
2 1 1 2
Direct
0.176 0.176 0.000
0.824 0.824 0.000
0.000 0.500 0.500
0.500 0.000 0.500
0.368 0.368 0.000
0.632 0.632 0.000
```

[11]
Theoretical X-ray diffraction stick pattern of Nd2YZn3Ga2Au for a wavelength of 1.5418 Å, from a structure optimized by DFT (PBE).
Neutral-atom scattering factors, no anomalous dispersion.

Principal peaks in the range 2θ = 5–70°, by angle:
14.2 deg, rel. 16; 28.7 deg, rel. 24; 32.4 deg, rel. 51; 35.5 deg, rel. 100; 38.3 deg, rel. 24; 41.6 deg, rel. 26; 43.6 deg, rel. 22; 43.8 deg, rel. 29; 61.9 deg, rel. 15; 69.3 deg, rel. 23

Structural model:
```
Nd2YZn3Ga2Au
1.0
4.338 0.000 0.000
0.000 6.222 3.592
0.000 -6.222 3.592
Nd Y Zn Ga Au
2 1 3 2 1
Direct
0.000 0.208 0.792
0.000 0.792 0.208
0.000 0.374 0.374
0.500 0.036 0.036
0.500 0.546 0.787
0.500 0.787 0.546
0.500 0.131 0.456
0.500 0.456 0.131
0.000 0.784 0.784
```

[12]
Theoretical X-ray diffraction stick pattern of DyBr2 for a wavelength of 1.5418 Å, from a structure optimized by DFT (PBE).
Neutral-atom scattering factors, no anomalous dispersion.

Principal peaks in the range 2θ = 5–70°, by angle:
12.8 deg, rel. 84; 27.6 deg, rel. 44; 29.8 deg, rel. 74; 33.2 deg, rel. 100; 37.5 deg, rel. 27; 42.5 deg, rel. 44; 47.3 deg, rel. 16; 47.4 deg, rel. 32; 48.1 deg, rel. 16; 59.0 deg, rel. 13

Structural model:
```
DyBr2
1.0
1.923 -3.319 0.000
1.923 3.319 0.000
0.000 0.000 13.816
Dy Br
2 4
Direct
0.167 0.833 0.500
0.833 0.167 0.000
0.168 0.832 0.868
0.499 0.501 0.132
0.501 0.499 0.632
0.832 0.168 0.368
```

[13]
Theoretical X-ray diffraction stick pattern of Sm2SiS4 for a wavelength of 1.5418 Å, from a structure optimized by DFT (PBE).
Neutral-atom scattering factors, no anomalous dispersion.

Principal peaks in the range 2θ = 5–70°, by angle:
19.7 deg, rel. 100; 28.4 deg, rel. 57; 31.3 deg, rel. 20; 31.8 deg, rel. 22; 34.5 deg, rel. 46; 34.9 deg, rel. 42; 37.9 deg, rel. 28; 38.0 deg, rel. 26; 40.0 deg, rel. 36; 44.3 deg, rel. 23

Structural model:
```
Sm2SiS4
1.0
6.724 0.000 0.000
0.000 6.286 0.000
-2.003 0.000 7.243
Sm Si S
4 2 8
Direct
0.230 0.250 0.058
0.235 0.250 0.554
0.765 0.750 0.446
0.770 0.750 0.942
0.225 0.750 0.808
0.775 0.250 0.192
0.001 0.506 0.256
0.001 0.994 0.256
0.419 0.750 0.090
0.428 0.750 0.626
0.572 0.250 0.374
0.581 0.250 0.910
0.999 0.006 0.744
0.999 0.494 0.744
```